NdPd4: calculated XRD peak list (copper Kα), based on a crystal structure in Alexandria, relaxed with GGA-PBE.
No peak broadening, texture or thermal motion is included.

The 10 most intense peaks (10 to 90 degrees two-theta), sorted by position:
| Position (°2θ) | Rel. int. |
| --- | --- |
| 37.3 | 93 |
| 38.0 | 100 |
| 40.1 | 40 |
| 40.6 | 43 |
| 41.7 | 17 |
| 50.0 | 17 |
| 58.4 | 26 |
| 66.3 | 14 |
| 72.2 | 15 |
| 76.4 | 23 |

Structural model:
Unit cell a=7.901 b=7.901 c=7.901 alpha=147.35 beta=136.39 gamma=55.52
Fractional positions:
Nd1 0.358 0.108 0.250
Nd2 0.642 0.892 0.750
Pd1 0.000 0.500 0.500
Pd2 0.139 0.889 0.250
Pd3 0.178 0.696 0.482
Pd4 0.286 0.304 0.982
Pd5 0.500 0.500 0.000
Pd6 0.714 0.696 0.018
Pd7 0.822 0.304 0.518
Pd8 0.861 0.111 0.750



Nd5Pd4: calculated XRD peak list (copper Kα), based on a crystal structure in Alexandria, relaxed with GGA-PBE.
No peak broadening, texture or thermal motion is included.

The 10 most intense peaks (10 to 90 degrees two-theta), sorted by position:
| Position (°2θ) | Rel. int. |
| --- | --- |
| 30.7 | 100 |
| 32.2 | 46 |
| 32.8 | 78 |
| 33.1 | 51 |
| 36.8 | 32 |
| 37.5 | 51 |
| 41.8 | 41 |
| 46.0 | 35 |
| 62.9 | 23 |
| 63.9 | 24 |

Structural model:
Unit cell a=5.913 b=5.913 c=11.330 alpha=106.45 beta=106.45 gamma=39.01
Fractional positions:
Nd1 0.000 0.000 0.000
Nd2 0.105 0.105 0.395
Nd3 0.229 0.229 0.815
Nd4 0.771 0.771 0.185
Nd5 0.895 0.895 0.605
Pd1 0.381 0.381 0.395
Pd2 0.483 0.483 0.185
Pd3 0.517 0.517 0.815
Pd4 0.619 0.619 0.605



PmNd2Pd9: calculated XRD peak list (copper Kα), based on a crystal structure in Alexandria, relaxed with GGA-PBE.
No peak broadening, texture or thermal motion is included.

The 9 most intense peaks (10 to 90 degrees two-theta), sorted by position:
| Position (°2θ) | Rel. int. |
| --- | --- |
| 21.2 | 2 |
| 30.1 | 2 |
| 37.1 | 100 |
| 43.1 | 49 |
| 48.5 | 1 |
| 53.5 | 1 |
| 62.6 | 32 |
| 75.0 | 37 |
| 79.0 | 11 |

Structural model:
Unit cell a=4.199 b=4.199 c=12.594 alpha=90.00 beta=90.00 gamma=90.00
Fractional positions:
Pm1 0.000 0.000 0.000
Nd1 0.000 0.000 0.333
Nd2 0.000 0.000 0.667
Pd1 0.000 0.500 0.166
Pd2 0.000 0.500 0.500
Pd3 0.000 0.500 0.834
Pd4 0.500 0.000 0.166
Pd5 0.500 0.000 0.500
Pd6 0.500 0.000 0.834
Pd7 0.500 0.500 0.000
Pd8 0.500 0.500 0.333
Pd9 0.500 0.500 0.667



PmNdSi2Pd2: calculated XRD peak list (copper Kα), based on a crystal structure in Alexandria, relaxed with GGA-PBE.
No peak broadening, texture or thermal motion is included.

The 10 most intense peaks (10 to 90 degrees two-theta), sorted by position:
| Position (°2θ) | Rel. int. |
| --- | --- |
| 24.4 | 13 |
| 26.6 | 17 |
| 32.5 | 100 |
| 42.9 | 40 |
| 43.2 | 13 |
| 54.9 | 22 |
| 62.5 | 26 |
| 72.1 | 20 |
| 72.5 | 10 |
| 78.6 | 7 |

Structural model:
Unit cell a=4.216 b=4.216 c=8.372 alpha=90.00 beta=90.00 gamma=120.00
Fractional positions:
Pm1 0.000 0.000 0.000
Nd1 0.000 0.000 0.500
Si1 0.333 0.667 0.751
Si2 0.667 0.333 0.249
Pd1 0.333 0.667 0.247
Pd2 0.667 0.333 0.753



Pr2NdPd9: calculated XRD peak list (copper Kα), based on a crystal structure in Alexandria, relaxed with GGA-PBE.
No peak broadening, texture or thermal motion is included.

The 9 most intense peaks (10 to 90 degrees two-theta), sorted by position:
| Position (°2θ) | Rel. int. |
| --- | --- |
| 21.1 | 2 |
| 30.0 | 1 |
| 36.9 | 100 |
| 42.9 | 49 |
| 48.3 | 1 |
| 53.2 | 1 |
| 62.3 | 32 |
| 74.7 | 37 |
| 78.6 | 11 |

Structural model:
Unit cell a=4.217 b=4.217 c=12.646 alpha=90.00 beta=90.00 gamma=90.00
Fractional positions:
Pr1 0.000 0.000 0.167
Pr2 0.000 0.000 0.833
Nd1 0.000 0.000 0.500
Pd1 0.000 0.500 0.000
Pd2 0.000 0.500 0.334
Pd3 0.000 0.500 0.666
Pd4 0.500 0.000 0.000
Pd5 0.500 0.000 0.334
Pd6 0.500 0.000 0.666
Pd7 0.500 0.500 0.167
Pd8 0.500 0.500 0.500
Pd9 0.500 0.500 0.833



PrNdPd10: calculated XRD peak list (copper Kα), based on a crystal structure in Alexandria, relaxed with GGA-PBE.
No peak broadening, texture or thermal motion is included.

The 10 most intense peaks (10 to 90 degrees two-theta), sorted by position:
| Position (°2θ) | Rel. int. |
| --- | --- |
| 27.6 | 24 |
| 33.4 | 22 |
| 38.7 | 30 |
| 39.1 | 100 |
| 40.1 | 33 |
| 43.9 | 27 |
| 57.0 | 19 |
| 63.5 | 23 |
| 70.1 | 19 |
| 84.0 | 23 |

Structural model:
Unit cell a=4.498 b=5.371 c=9.288 alpha=90.00 beta=90.00 gamma=90.00
Fractional positions:
Pr1 0.000 0.000 0.000
Nd1 0.000 0.500 0.500
Pd1 0.000 0.000 0.334
Pd2 0.000 0.000 0.666
Pd3 0.000 0.500 0.167
Pd4 0.000 0.500 0.833
Pd5 0.500 0.000 0.500
Pd6 0.500 0.250 0.250
Pd7 0.500 0.250 0.750
Pd8 0.500 0.500 0.000
Pd9 0.500 0.750 0.250
Pd10 0.500 0.750 0.750



Nd2PdPt2: calculated XRD peak list (copper Kα), based on a crystal structure in Alexandria, relaxed with GGA-PBE.
No peak broadening, texture or thermal motion is included.

The 10 most intense peaks (10 to 90 degrees two-theta), sorted by position:
| Position (°2θ) | Rel. int. |
| --- | --- |
| 31.3 | 61 |
| 33.6 | 28 |
| 34.9 | 43 |
| 36.7 | 85 |
| 37.0 | 57 |
| 37.1 | 100 |
| 37.9 | 36 |
| 38.5 | 46 |
| 40.4 | 61 |
| 65.7 | 28 |

Structural model:
Unit cell a=5.700 b=5.700 c=8.146 alpha=103.99 beta=103.99 gamma=59.61
Fractional positions:
Nd1 0.016 0.287 0.152
Nd2 0.287 0.016 0.652
Nd3 0.713 0.984 0.348
Nd4 0.984 0.713 0.848
Pd1 0.281 0.719 0.250
Pd2 0.719 0.281 0.750
Pt1 0.246 0.496 0.504
Pt2 0.496 0.246 0.004
Pt3 0.504 0.754 0.996
Pt4 0.754 0.504 0.496



NdPdPt: calculated XRD peak list (copper Kα), based on a crystal structure in Alexandria, relaxed with GGA-PBE.
No peak broadening, texture or thermal motion is included.

The 10 most intense peaks (10 to 90 degrees two-theta), sorted by position:
| Position (°2θ) | Rel. int. |
| --- | --- |
| 19.7 | 14 |
| 32.4 | 22 |
| 32.6 | 13 |
| 38.2 | 100 |
| 38.3 | 29 |
| 39.9 | 27 |
| 40.1 | 26 |
| 61.6 | 14 |
| 61.9 | 21 |
| 67.9 | 24 |

Structural model:
Unit cell a=5.522 b=5.522 c=5.522 alpha=120.25 beta=119.81 gamma=89.95
Fractional positions:
Nd1 0.376 0.126 0.250
Nd2 0.624 0.874 0.750
Pd1 0.000 0.000 0.500
Pd2 0.000 0.500 0.000
Pt1 0.000 0.500 0.500
Pt2 0.500 0.500 0.000



Nd8Pd3Pt2: calculated XRD peak list (copper Kα), based on a crystal structure in Alexandria, relaxed with GGA-PBE.
No peak broadening, texture or thermal motion is included.

The 10 most intense peaks (10 to 90 degrees two-theta), sorted by position:
| Position (°2θ) | Rel. int. |
| --- | --- |
| 19.8 | 37 |
| 28.7 | 100 |
| 31.0 | 38 |
| 31.6 | 79 |
| 32.1 | 89 |
| 32.4 | 61 |
| 34.5 | 40 |
| 38.5 | 52 |
| 41.3 | 37 |
| 47.4 | 49 |

Structural model:
Unit cell a=8.540 b=8.540 c=6.703 alpha=101.07 beta=101.07 gamma=52.29
Fractional positions:
Nd1 0.076 0.076 0.334
Nd2 0.122 0.617 0.125
Nd3 0.331 0.331 0.616
Nd4 0.383 0.878 0.875
Nd5 0.617 0.122 0.125
Nd6 0.669 0.669 0.384
Nd7 0.878 0.383 0.875
Nd8 0.924 0.924 0.666
Pd1 0.318 0.682 0.500
Pd2 0.500 0.500 0.000
Pd3 0.682 0.318 0.500
Pt1 0.234 0.234 0.184
Pt2 0.766 0.766 0.816



Nd2Pd4Pt: calculated XRD peak list (copper Kα), based on a crystal structure in Alexandria, relaxed with GGA-PBE.
No peak broadening, texture or thermal motion is included.

The 10 most intense peaks (10 to 90 degrees two-theta), sorted by position:
| Position (°2θ) | Rel. int. |
| --- | --- |
| 30.4 | 61 |
| 37.1 | 22 |
| 38.3 | 100 |
| 41.0 | 27 |
| 46.4 | 11 |
| 50.5 | 14 |
| 57.3 | 10 |
| 57.4 | 10 |
| 69.4 | 12 |
| 79.1 | 18 |

Structural model:
Unit cell a=6.271 b=6.271 c=9.380 alpha=90.00 beta=90.00 gamma=51.34
Fractional positions:
Nd1 0.144 0.144 0.000
Nd2 0.356 0.356 0.500
Nd3 0.644 0.644 0.500
Nd4 0.856 0.856 0.000
Pd1 0.001 0.499 0.250
Pd2 0.250 0.750 0.250
Pd3 0.250 0.750 0.750
Pd4 0.499 0.001 0.750
Pd5 0.501 0.999 0.250
Pd6 0.750 0.250 0.250
Pd7 0.750 0.250 0.750
Pd8 0.999 0.501 0.750
Pt1 0.000 0.000 0.500
Pt2 0.500 0.500 0.000



NdPd8Pt4: calculated XRD peak list (copper Kα), based on a crystal structure in Alexandria, relaxed with GGA-PBE.
No peak broadening, texture or thermal motion is included.

The 10 most intense peaks (10 to 90 degrees two-theta), sorted by position:
| Position (°2θ) | Rel. int. |
| --- | --- |
| 19.4 | 39 |
| 27.6 | 14 |
| 33.9 | 21 |
| 39.2 | 72 |
| 39.4 | 100 |
| 44.1 | 62 |
| 44.3 | 47 |
| 56.8 | 17 |
| 71.4 | 34 |
| 84.7 | 15 |

Structural model:
Unit cell a=6.993 b=6.993 c=6.993 alpha=98.30 beta=98.30 gamma=135.35
Fractional positions:
Nd1 0.000 0.000 0.000
Pd1 0.000 0.347 0.347
Pd2 0.000 0.653 0.653
Pd3 0.281 0.500 0.781
Pd4 0.347 0.000 0.347
Pd5 0.500 0.281 0.781
Pd6 0.500 0.719 0.219
Pd7 0.653 0.000 0.653
Pd8 0.719 0.500 0.219
Pt1 0.000 0.000 0.500
Pt2 0.000 0.500 0.000
Pt3 0.500 0.000 0.000
Pt4 0.500 0.500 0.500



NdPdPt4: calculated XRD peak list (copper Kα), based on a crystal structure in Alexandria, relaxed with GGA-PBE.
No peak broadening, texture or thermal motion is included.

The 10 most intense peaks (10 to 90 degrees two-theta), sorted by position:
| Position (°2θ) | Rel. int. |
| --- | --- |
| 20.2 | 23 |
| 33.3 | 16 |
| 39.3 | 100 |
| 41.1 | 55 |
| 47.9 | 12 |
| 52.5 | 6 |
| 63.6 | 33 |
| 70.0 | 30 |
| 83.4 | 12 |
| 84.6 | 22 |

Structural model:
Unit cell a=5.374 b=5.374 c=5.374 alpha=60.00 beta=60.00 gamma=60.00
Fractional positions:
Nd1 0.000 0.000 0.000
Pd1 0.250 0.250 0.250
Pt1 0.126 0.625 0.625
Pt2 0.625 0.126 0.625
Pt3 0.625 0.625 0.126
Pt4 0.625 0.625 0.625